Simulated XRD peak list of NaPrNb4O12 for Cu Kα, from a GGA-PBE-relaxed structure.

Top 10 peaks for 10° ≤ 2θ ≤ 90°, sorted by position:
d = 7.995 Å, 11.07 deg, I 13
d = 5.642 Å, 15.71 deg, I 12
d = 4.610 Å, 19.25 deg, I 28
d = 3.992 Å, 22.27 deg, I 45
d = 2.823 Å, 31.70 deg, I 100
d = 2.407 Å, 37.35 deg, I 15
d = 1.996 Å, 45.44 deg, I 42
d = 1.785 Å, 51.16 deg, I 16
d = 1.630 Å, 56.46 deg, I 40
d = 1.412 Å, 66.21 deg, I 24

Atomic structure:
```
NaPrNb4O12
1.0
5.642 0.000 0.000
0.000 5.642 0.000
0.000 0.000 7.995
Na Pr Nb O
1 1 4 12
Cartesian
0.000 0.000 0.000
2.821 2.821 3.997
0.000 2.821 1.978
0.000 2.821 6.017
2.821 0.000 1.978
2.821 0.000 6.017
0.000 2.821 0.000
0.000 2.821 3.997
1.453 1.453 2.108
1.453 1.453 5.887
1.453 4.190 2.108
1.453 4.190 5.887
2.821 0.000 0.000
2.821 0.000 3.997
4.190 1.453 2.108
4.190 1.453 5.887
4.190 4.190 2.108
4.190 4.190 5.887
```

***

Simulated XRD peak list of NaSn4Pd7 for Cu Kα, from a GGA-PBE-relaxed structure.

Top 10 peaks for 10° ≤ 2θ ≤ 90°, sorted by position:
d = 4.335 Å, 20.49 deg, I 21
d = 2.710 Å, 33.06 deg, I 42
d = 2.445 Å, 36.76 deg, I 36
d = 2.431 Å, 36.98 deg, I 74
d = 2.245 Å, 40.16 deg, I 100
d = 2.068 Å, 43.78 deg, I 100
d = 1.809 Å, 50.44 deg, I 26
d = 1.724 Å, 53.13 deg, I 25
d = 1.365 Å, 68.79 deg, I 22
d = 1.322 Å, 71.36 deg, I 24

Atomic structure:
```
NaSn4Pd7
1.0
5.798 -2.431 0.000
5.798 2.431 0.000
-5.584 0.000 8.189
Na Sn Pd
1 4 7
Cartesian
0.000 0.000 0.000
-0.578 0.000 5.503
3.561 0.000 1.782
2.450 0.000 6.407
6.589 0.000 2.686
-0.995 0.000 2.785
-2.498 0.000 7.319
1.633 0.000 3.755
5.798 0.000 0.000
4.379 0.000 4.434
8.510 0.000 0.871
7.006 0.000 5.405
```